The following is a theoretical powder XRD pattern of CuAu6Br3. It was derived from a cell relaxed with PBE, using Cu Kα (weighted mean of Kα1 and Kα2).
Intensities are scaled so that the largest is 100.

Most intense lines, 5 to 70 degrees two-theta, sorted by position:
- 6.019 Å, 2θ = 14.72°, intensity 40, hkl 1 0 1
- 3.800 Å, 2θ = 23.41°, intensity 100, hkl 2 0 0
- 3.633 Å, 2θ = 24.51°, intensity 41, hkl 1 1 2
- 3.213 Å, 2θ = 27.77°, intensity 60, hkl 2 1 1
- 2.465 Å, 2θ = 36.45°, intensity 49, hkl 0 0 4
- 2.453 Å, 2θ = 36.63°, intensity 54, hkl 3 0 1
- 2.403 Å, 2θ = 37.42°, intensity 29, hkl 3 1 0
- 2.360 Å, 2θ = 38.13°, intensity 100, hkl 2 2 2
- 2.068 Å, 2θ = 43.78°, intensity 38, hkl 2 0 4
- 2.006 Å, 2θ = 45.19°, intensity 24, hkl 3 0 3
- 1.791 Å, 2θ = 50.98°, intensity 23, hkl 3 3 0
- 1.607 Å, 2θ = 57.35°, intensity 32, hkl 4 2 2

Atomic structure:
Cell: 7.5995 7.5995 9.8591 Å, 90.00 90.00 90.00°
Space group I4/mmm (No. 139)
Asymmetric unit:
Cu  0.0000  0.0000  0.0000 x2
Au  0.0000  0.0000  0.2422 x4
Au  0.0000  0.3214  0.0000 x8
Br  0.0000  0.0000  0.5000 x2
Br  0.0000  0.5000  0.2500 x4

---

The following is a theoretical powder XRD pattern of Rb4CuP2Au. It was derived from a cell relaxed with PBE, using Cu Kα (weighted mean of Kα1 and Kα2).
Intensities are scaled so that the largest is 100.

Most intense lines, 5 to 70 degrees two-theta, sorted by position:
- 6.105 Å, 2θ = 14.51°, intensity 60, hkl 1 1 0
- 4.422 Å, 2θ = 20.08°, intensity 36, hkl 1 1 -1
- 3.219 Å, 2θ = 27.71°, intensity 53, hkl 2 0 1
- 3.144 Å, 2θ = 28.39°, intensity 100, hkl 1 3 0
- 2.823 Å, 2θ = 31.69°, intensity 58, hkl 1 1 -2
- 2.808 Å, 2θ = 31.87°, intensity 67, hkl 1 3 1
- 2.794 Å, 2θ = 32.03°, intensity 37, hkl 1 1 2
- 2.763 Å, 2θ = 32.40°, intensity 27, hkl 2 2 -1
- 2.701 Å, 2θ = 33.17°, intensity 44, hkl 0 2 2
- 2.445 Å, 2θ = 36.76°, intensity 52, hkl 2 0 -2
- 1.721 Å, 2θ = 53.21°, intensity 26, hkl 3 3 -2
- 1.701 Å, 2θ = 53.89°, intensity 29, hkl 3 3 2

Atomic structure:
Cell: 7.5509 10.3745 6.3274 Å, 90.00 90.91 90.00°
Space group C2/m (No. 12)
Asymmetric unit:
Rb  0.1461  0.1707  0.2497 x8
Cu  0.0000  0.5000  0.0000 x2
P  0.2279  0.5000  0.2344 x4
Au  0.0000  0.5000  0.5000 x2